Starting from a structure optimized by DFT (GGA-PBE), the PXRD pattern of Zn3Ga3N5 was calculated for copper Kα.
Peak positions follow from Bragg's law for the DFT cell and can differ from measured ones.

Most intense lines, 2θ = 5–70°, sorted by position:
(hkl)	Position (°2θ)	intensity
0 2 -2	30.3	57
2 0 0	33.2	38
1 0 -3	33.6	83
1 2 -2	34.3	46
1 -2 2	35.1	44
0 2 1	35.9	100
2 0 1	39.5	42
-2 2 1	39.8	44
3 0 -2	47.4	32
-1 2 4	62.6	33

Structural model:
a = 5.868 Å, b = 6.596 Å, c = 8.439 Å
α = 107.67°, β = 107.44°, γ = 98.92°
Fractional coordinates of all 22 atoms:
Zn (0.124, 0.215, 0.461)
Zn (0.205, 0.942, 0.097)
Zn (0.323, 0.115, 0.782)
Zn (0.677, 0.885, 0.218)
Zn (0.795, 0.058, 0.903)
Zn (0.876, 0.785, 0.539)
Ga (0.216, 0.456, 0.087)
Ga (0.337, 0.646, 0.793)
Ga (0.390, 0.796, 0.466)
Ga (0.610, 0.204, 0.534)
Ga (0.663, 0.354, 0.207)
Ga (0.784, 0.544, 0.913)
N (0.130, 0.619, 0.928)
N (0.214, 0.777, 0.621)
N (0.276, 0.997, 0.351)
N (0.320, 0.188, 0.024)
N (0.452, 0.367, 0.701)
N (0.548, 0.633, 0.299)
N (0.680, 0.812, 0.976)
N (0.724, 0.003, 0.649)
N (0.786, 0.223, 0.379)
N (0.870, 0.381, 0.072)